Na6Cr2C4SO16: theoretical powder X-ray diffraction pattern (a wavelength of 1.5418 Å), based on a DFT-relaxed cell (GGA+U, Alexandria).
Peak positions follow from Bragg's law for the DFT cell and can differ from measured ones.

Peak list (6 most intense, 2θ = 10–90°, in order of rising 2θ)
Position (°2θ), I (rel.), (hkl)
20.83, 94, 3 1 1
32.91, 100, 5 1 1
35.92, 74, 4 4 0
37.63, 20, 5 1 3
45.83, 22, 7 1 1
56.35, 33, 5 5 5

Atomic structure:
a = 14.141 Å, b = 14.141 Å, c = 14.141 Å
α = 90.00°, β = 90.00°, γ = 90.00°
Space group Fd-3 (No. 203, origin choice 2)
Asymmetric unit:
Na: 0.091 0.375 0.375 x48
Cr: 0.000 0.000 0.500 x16
C: 0.030 0.030 0.720 x32
S: 0.125 0.125 0.125 x8
O: 0.017 0.100 0.779 x96
O: 0.064 0.064 0.064 x32